Entry 1:
For Ac2Zn3In, a structure optimized by DFT (PBE) gives the theoretical powder XRD pattern in this record (copper Kα).

Atomic structure:
```
Ac2Zn3In
1.0
-2.176 2.327 8.173
2.176 -2.327 8.173
2.176 2.327 -8.173
Ac Zn In
2 3 1
direct
0.000 0.000 0.000
0.760 0.260 0.500
0.177 0.677 0.500
0.337 0.837 0.500
0.418 0.418 0.000
0.589 0.589 0.000
```

Top 10 peaks for 10° ≤ 2θ ≤ 90°, low angle first:
2θ (°)  intensity
25.2  13
26.2  26
30.2  100
33.5  35
34.3  19
38.7  21
41.5  17
44.0  16
47.3  14
54.3  18



Entry 2:
For Nd2ErCd2, a structure optimized by DFT (PBE) gives the theoretical powder XRD pattern in this record (copper Kα).

Atomic structure:
```
Nd2ErCd2
1.0
-2.511 3.513 4.190
2.511 -3.513 4.190
2.511 3.513 -4.190
Nd Er Cd
2 1 2
direct
0.196 0.196 0.000
0.804 0.804 0.000
0.500 0.000 0.500
0.213 0.500 0.713
0.787 0.500 0.287
```

Top 10 peaks for 10° ≤ 2θ ≤ 90°, low angle first:
2θ (°)  intensity
30.6  100
32.9  92
34.6  24
35.8  39
36.8  15
50.6  16
50.9  19
63.7  19
64.3  26
73.5  14